# 1
This entry pairs a crystal structure of SrGaBrCl4 with its computed XRD peak list. Radiation: a wavelength of 1.5418 Å. Structure: a DFT-relaxed cell (GGA-PBE, Alexandria).

Main lines, sorted by position (2θ = 5–70°):
9.529 Å, 2θ 9.28, rel. 88; 5.354 Å, 2θ 16.56, rel. 32; 4.798 Å, 2θ 18.49, rel. 100; 4.313 Å, 2θ 20.59, rel. 35; 3.225 Å, 2θ 27.66, rel. 36; 3.136 Å, 2θ 28.46, rel. 70; 2.677 Å, 2θ 33.48, rel. 18; 2.666 Å, 2θ 33.62, rel. 19; 2.399 Å, 2θ 37.49, rel. 19; 2.304 Å, 2θ 39.10, rel. 24; 2.135 Å, 2θ 42.34, rel. 29; 1.810 Å, 2θ 50.43, rel. 18

Structural model:
Lattice parameters (Å, degrees): 7.4170 7.4170 9.8301 100.80 100.80 80.62
Atoms (fractional coordinates):
Sr 0.1972 0.1972 0.0669
Sr 0.8028 0.8028 0.9331
Ga 0.3610 0.3610 0.7449
Ga 0.6390 0.6390 0.2551
Br 0.0079 0.0079 0.7984
Br 0.9921 0.9921 0.2016
Cl 0.1565 0.5082 0.8878
Cl 0.2345 0.2345 0.5449
Cl 0.4479 0.4479 0.2717
Cl 0.4918 0.8435 0.1122
Cl 0.5082 0.1565 0.8878
Cl 0.5521 0.5521 0.7283
Cl 0.7655 0.7655 0.4551
Cl 0.8435 0.4918 0.1122

# 2
This entry pairs a crystal structure of Pm5Nd2Hg4 with its computed XRD peak list. Radiation: a wavelength of 1.5418 Å. Structure: a DFT-relaxed cell (GGA-PBE, Alexandria).

Main lines, sorted by position (2θ = 5–70°):
11.084 Å, 2θ 7.98, rel. 35; 7.611 Å, 2θ 11.63, rel. 16; 3.386 Å, 2θ 26.32, rel. 15; 2.890 Å, 2θ 30.95, rel. 47; 2.871 Å, 2θ 31.15, rel. 23; 2.730 Å, 2θ 32.80, rel. 100; 2.535 Å, 2θ 35.41, rel. 66; 2.435 Å, 2θ 36.91, rel. 19; 2.408 Å, 2θ 37.35, rel. 23; 2.019 Å, 2θ 44.89, rel. 14; 1.853 Å, 2θ 49.16, rel. 20; 1.560 Å, 2θ 59.23, rel. 15

Structural model:
Lattice parameters (Å, degrees): 11.7266 11.7266 8.3492 106.60 106.60 18.19
Atoms (fractional coordinates):
Pm 0.0000 0.0000 0.0000
Pm 0.3332 0.3332 0.5708
Pm 0.3783 0.3783 0.0511
Pm 0.6217 0.6217 0.9489
Pm 0.6668 0.6668 0.4292
Nd 0.2321 0.2321 0.8099
Nd 0.7679 0.7679 0.1901
Hg 0.0879 0.0879 0.6149
Hg 0.4803 0.4803 0.6831
Hg 0.5197 0.5197 0.3169
Hg 0.9121 0.9121 0.3851

# 3
This entry pairs a crystal structure of Li2TlSnO4 with its computed XRD peak list. Radiation: a wavelength of 1.5418 Å. Structure: a DFT-relaxed cell (GGA-PBE, Alexandria).

Main lines, sorted by position (2θ = 5–70°):
4.011 Å, 2θ 22.16, rel. 100; 2.921 Å, 2θ 30.60, rel. 26; 2.878 Å, 2θ 31.08, rel. 35; 2.682 Å, 2θ 33.40, rel. 50; 2.135 Å, 2θ 42.33, rel. 27; 2.050 Å, 2θ 44.18, rel. 18; 1.885 Å, 2θ 48.29, rel. 26; 1.724 Å, 2θ 53.13, rel. 22; 1.715 Å, 2θ 53.44, rel. 16; 1.637 Å, 2θ 56.20, rel. 16; 1.510 Å, 2θ 61.41, rel. 9; 1.479 Å, 2θ 62.84, rel. 12

Structural model:
Lattice parameters (Å, degrees): 4.2701 4.2701 11.6851 90.00 90.00 90.00
Atoms (fractional coordinates):
Li 0.0000 0.0000 0.0000
Li 0.0000 0.5000 0.2500
Li 0.5000 0.0000 0.7500
Li 0.5000 0.5000 0.5000
Tl 0.0000 0.0000 0.5000
Tl 0.5000 0.5000 0.0000
Sn 0.0000 0.5000 0.7500
Sn 0.5000 0.0000 0.2500
O 0.0000 0.0000 0.2511
O 0.0000 0.0000 0.7489
O 0.0000 0.5000 0.5701
O 0.0000 0.5000 0.9299
O 0.5000 0.0000 0.0701
O 0.5000 0.0000 0.4299
O 0.5000 0.5000 0.2489
O 0.5000 0.5000 0.7511

# 4
This entry pairs a crystal structure of Sc3SbS2 with its computed XRD peak list. Radiation: a wavelength of 1.5418 Å. Structure: a DFT-relaxed cell (GGA-PBE, Alexandria).

Main lines, sorted by position (2θ = 5–70°):
5.200 Å, 2θ 17.05, rel. 71; 3.652 Å, 2θ 24.37, rel. 68; 3.326 Å, 2θ 26.81, rel. 47; 2.968 Å, 2θ 30.11, rel. 16; 2.802 Å, 2θ 31.94, rel. 17; 2.661 Å, 2θ 33.69, rel. 37; 2.566 Å, 2θ 34.97, rel. 36; 2.319 Å, 2θ 38.83, rel. 100; 2.299 Å, 2θ 39.19, rel. 59; 1.985 Å, 2θ 45.70, rel. 28; 1.710 Å, 2θ 53.60, rel. 22; 1.672 Å, 2θ 54.90, rel. 12

Structural model:
Lattice parameters (Å, degrees): 7.3890 7.3890 7.3890 126.17 92.02 112.00
Atoms (fractional coordinates):
Sc 0.0000 0.2238 0.2238
Sc 0.0000 0.7762 0.7762
Sc 0.5000 0.0000 0.0000
Sc 0.5000 0.2238 0.7238
Sc 0.5000 0.5000 0.5000
Sc 0.5000 0.7762 0.2762
Sb 0.1840 0.9340 0.2500
Sb 0.8160 0.0660 0.7500
S 0.2627 0.7025 0.5602
S 0.3578 0.2975 0.0602
S 0.6422 0.7025 0.9398
S 0.7373 0.2975 0.4398

# 5
This entry pairs a crystal structure of La3Pm6Ho2Tm with its computed XRD peak list. Radiation: a wavelength of 1.5418 Å. Structure: a DFT-relaxed cell (GGA-PBE, Alexandria).

Main lines, sorted by position (2θ = 5–70°):
11.876 Å, 2θ 7.44, rel. 3; 2.974 Å, 2θ 30.05, rel. 100; 2.682 Å, 2θ 33.40, rel. 1; 2.575 Å, 2θ 34.84, rel. 51; 2.260 Å, 2θ 39.88, rel. 1; 1.822 Å, 2θ 50.07, rel. 24; 1.819 Å, 2θ 50.14, rel. 12; 1.553 Å, 2θ 59.51, rel. 32; 1.551 Å, 2θ 59.59, rel. 10; 1.488 Å, 2θ 62.43, rel. 9; 1.485 Å, 2θ 62.57, rel. 3

Structural model:
Lattice parameters (Å, degrees): 6.3141 6.3141 12.0626 95.02 95.02 120.05
Atoms (fractional coordinates):
La 0.0000 0.0000 0.0000
La 0.3333 0.6667 0.0000
La 0.6667 0.3333 0.0000
Pm 0.0862 0.4191 0.2571
Pm 0.2479 0.2479 0.7430
Pm 0.4191 0.0862 0.2571
Pm 0.5809 0.9138 0.7429
Pm 0.7521 0.7521 0.2570
Pm 0.9138 0.5809 0.7429
Ho 0.1666 0.8334 0.5000
Ho 0.8334 0.1666 0.5000
Tm 0.5000 0.5000 0.5000